No. 1
Theoretical powder diffraction line list
Compound: Rb2LaNb5O15
Radiation: Cu Kα
Structure: a crystal structure in Alexandria, relaxed with GGA-PBE
Peak positions follow from Bragg's law for the DFT cell and can differ from measured ones.

```
data_Rb2LaNb5O15
_chemical_formula_sum 'Rb4 La2 Nb10 O30'
_cell_length_a 12.8670
_cell_length_b 12.8670
_cell_length_c 3.9820
_cell_angle_alpha 90.00
_cell_angle_beta 90.00
_cell_angle_gamma 90.00
_space_group_name_H-M_alt 'P 4/m b m'
_space_group_IT_number 127
_space_group_name_Hall '-P 4 2ab'
loop_
_atom_site_label
_atom_site_type_symbol
_atom_site_fract_x
_atom_site_fract_y
_atom_site_fract_z
Rb1 Rb 0.1725 0.3275 0.0000
La1 La 0.0000 0.0000 0.0000
Nb1 Nb 0.0000 0.5000 0.5000
Nb2 Nb 0.0748 0.7858 0.5000
O1 O 0.9999 0.3435 0.5000
O2 O 0.0000 0.5000 0.0000
O3 O 0.0609 0.1335 0.5000
O4 O 0.0774 0.8084 0.0000
O5 O 0.2119 0.7119 0.5000
```

The 8 most intense peaks (5 to 70 degrees two-theta), low angle first:
2theta, Rel. int., hkl
24.95, 33, 3 2 0
27.23, 60, 2 1 1
28.60, 69, 4 1 0
29.82, 37, 2 2 1
31.08, 44, 4 2 0
31.43, 100, 3 1 1
45.56, 34, 0 0 2
55.52, 35, 7 1 1

***

No. 2
Theoretical powder diffraction line list
Compound: LaTbNb2O8
Radiation: Cu Kα
Structure: a crystal structure in Alexandria, relaxed with GGA-PBE
Peak positions follow from Bragg's law for the DFT cell and can differ from measured ones.

```
data_LaTbNb2O8
_chemical_formula_sum 'La2 Tb2 Nb4 O16'
_cell_length_a 5.3585
_cell_length_b 5.3585
_cell_length_c 11.4510
_cell_angle_alpha 90.00
_cell_angle_beta 90.00
_cell_angle_gamma 90.00
_space_group_name_H-M_alt 'I -4'
_space_group_IT_number 82
loop_
_space_group_symop_operation_xyz
'x,y,z'
'y,-x,-z'
'-x,-y,z'
'-y,x,-z'
'x+1/2,y+1/2,z+1/2'
'y+1/2,-x+1/2,-z+1/2'
'-x+1/2,-y+1/2,z+1/2'
'-y+1/2,x+1/2,-z+1/2'
loop_
_atom_site_label
_atom_site_type_symbol
_atom_site_fract_x
_atom_site_fract_y
_atom_site_fract_z
La1 La 0.0000 0.0000 0.0000
Tb1 Tb 0.0000 0.5000 0.7500
Nb1 Nb 0.0000 0.0000 0.5000
Nb2 Nb 0.0000 0.5000 0.2500
O1 O 0.1601 0.2507 0.5901
O2 O 0.1752 0.7483 0.1650
```

The 8 most intense peaks (5 to 70 degrees two-theta), low angle first:
2theta, Rel. int., hkl
28.24, 100, 1 1 2
31.24, 13, 0 0 4
33.45, 20, 2 0 0
46.42, 31, 2 0 4
48.02, 15, 2 2 0
53.78, 16, 1 1 6
56.65, 28, 1 3 2
58.41, 11, 2 2 4